This entry pairs a crystal structure of Cs2CoCu3F10 with its calculated powder XRD pattern. Radiation: Cu Ka. Structure: a crystal structure in Alexandria, relaxed with GGA+U.
No peak broadening, texture or thermal motion is included.

The 6 most intense peaks (2θ from 10° to 80°), by angle:
d (Å)  2theta  I_rel
3.241  27.52  62
3.223  27.67  67
3.203  27.86  74
3.000  29.78  75
2.869  31.17  62
2.741  32.67  100

Crystal structure
```
Cs2CoCu3F10
1.0
6.7306 0.0000 0.0000
-2.5037 6.4999 0.0000
-3.2461 -2.4847 5.9542
Cs Co Cu F
2 1 3 10
direct
0.2283 0.3697 0.1258
0.7717 0.6303 0.8742
0.5000 0.0000 0.0000
0.0000 0.0000 0.5000
0.0000 0.5000 0.5000
0.5000 0.0000 0.5000
0.1447 0.7021 0.3935
0.1791 0.0144 0.7978
0.3014 0.6628 0.8078
0.3165 0.1711 0.5202
0.3495 0.9431 0.1854
0.6505 0.0569 0.8146
0.6835 0.8289 0.4798
0.6986 0.3372 0.1922
0.8209 0.9856 0.2022
0.8553 0.2979 0.6065
```